Simulated X-ray diffraction stick pattern
Compound: TlAsRhAuCl
Radiation: Cu Ka
Structure: a GGA-PBE-relaxed structure

Principal peaks in the range 2θ from 10° to 80°, by intensity:
2θ = 33.48°, I 100; 2θ = 22.23°, I 91; 2θ = 30.16°, I 66; 2θ = 11.06°, I 44; 2θ = 40.92°, I 41; 2θ = 37.22°, I 34

Cell and atoms:
```
data_TlAsRhAuCl
_symmetry_space_group_name_H-M 'P 1 m 1'
_symmetry_Int_Tables_number 6
_cell_length_a 3.4441
_cell_length_b 4.4113
_cell_length_c 8.1741
_cell_angle_alpha 90.00
_cell_angle_beta 101.91
_cell_angle_gamma 90.00
loop_
_symmetry_equiv_pos_as_xyz
'x,y,z'
'x,-y,z'
loop_
_atom_site_label
_atom_site_fract_x
_atom_site_fract_y
_atom_site_fract_z
_atom_site_occupancy
Tl1 0.0000 0.0000 0.0000 1
As1 0.6555 0.5000 0.2940 1
Rh1 0.2565 0.5000 0.4998 1
Au1 0.7411 0.0000 0.4678 1
Cl1 0.4083 0.5000 0.8111 1
```